# Tb2DySc4
Calculated powder XRD pattern, Cu Ka. Input: a cell relaxed with GGA-PBE.
No peak broadening, texture or thermal motion is included.

Structure:
a = 8.028 Å, b = 8.028 Å, c = 6.259 Å
α = 90.00°, β = 90.00°, γ = 90.00°
Space group I4/mmm (No. 139)
Inequivalent atoms, fractional coordinates:
Tb  0.000  0.500  0.250 (multiplicity 4)
Dy  0.000  0.000  0.000 (multiplicity 2)
Sc  0.193  0.193  0.500 (multiplicity 8)

Top 10 peaks for 10 to 80 degrees two-theta, in order of rising 2θ:
(2 0 0), 2θ = 22.1°, I = 60
(2 1 1), 2θ = 28.7°, I = 49
(2 2 0), 2θ = 31.5°, I = 74
(1 1 2), 2θ = 32.7°, I = 100
(2 0 2), 2θ = 36.4°, I = 25
(3 0 1), 2θ = 36.5°, I = 30
(3 1 2), 2θ = 46.0°, I = 56
(4 2 0), 2θ = 50.9°, I = 25
(3 3 2), 2θ = 56.9°, I = 31
(5 1 2), 2θ = 66.5°, I = 29

# TbDy2Sc7
Calculated powder XRD pattern, Cu Ka. Input: a cell relaxed with GGA-PBE.
No peak broadening, texture or thermal motion is included.

Structure:
a = 5.765 Å, b = 5.801 Å, c = 8.850 Å
α = 102.42°, β = 108.87°, γ = 99.83°
Space group P-1 (No. 2)
Inequivalent atoms, fractional coordinates:
Tb  0.000  0.000  0.000 (multiplicity 1)
Dy  0.206  0.603  0.207 (multiplicity 2)
Sc  0.000  0.500  0.500 (multiplicity 1)
Sc  0.197  0.094  0.695 (multiplicity 2)
Sc  0.399  0.698  0.897 (multiplicity 2)
Sc  0.402  0.201  0.403 (multiplicity 2)

Top 10 peaks for 10 to 80 degrees two-theta, in order of rising 2θ:
(0 0 1), 2θ = 11.0°, I = 17
(1 0 -1), 2θ = 16.3°, I = 32
(0 2 -1), 2θ = 31.3°, I = 20
(1 -2 0), 2θ = 32.8°, I = 100
(2 0 -2), 2θ = 33.0°, I = 35
(-1 1 3), 2θ = 38.0°, I = 24
(2 -1 1), 2θ = 38.1°, I = 22
(1 2 -2), 2θ = 38.2°, I = 23
(0 3 1), 2θ = 54.8°, I = 22
(2 3 -1), 2θ = 65.6°, I = 16

# Tb4Dy11Sc9
Calculated powder XRD pattern, Cu Ka. Input: a cell relaxed with GGA-PBE.
No peak broadening, texture or thermal motion is included.

Structure:
a = 15.777 Å, b = 25.392 Å, c = 3.489 Å
α = 90.00°, β = 90.00°, γ = 90.00°
Space group Cmmm (No. 65)
Inequivalent atoms, fractional coordinates:
Tb  0.172  0.089  0.000 (multiplicity 8)
Dy  0.000  0.123  0.500 (multiplicity 4)
Dy  0.000  0.312  0.500 (multiplicity 4)
Dy  0.000  0.500  0.500 (multiplicity 2)
Dy  0.209  0.500  0.500 (multiplicity 4)
Dy  0.220  0.314  0.500 (multiplicity 8)
Sc  0.000  0.000  0.000 (multiplicity 2)
Sc  0.105  0.218  0.000 (multiplicity 8)
Sc  0.109  0.406  0.000 (multiplicity 8)

Top 10 peaks for 10 to 80 degrees two-theta, in order of rising 2θ:
(1 5 0), 2θ = 18.4°, I = 70
(4 6 0), 2θ = 31.0°, I = 80
(1 5 1), 2θ = 31.6°, I = 43
(0 6 1), 2θ = 33.3°, I = 86
(5 5 0), 2θ = 33.4°, I = 100
(4 0 1), 2θ = 34.3°, I = 78
(0 10 0), 2θ = 35.3°, I = 35
(5 1 1), 2θ = 38.6°, I = 33
(5 11 1), 2θ = 55.9°, I = 50
(9 5 1), 2θ = 62.0°, I = 43

# Tb3Dy7Sc2
Calculated powder XRD pattern, Cu Ka. Input: a cell relaxed with GGA-PBE.
No peak broadening, texture or thermal motion is included.

Structure:
a = 6.4187 Å, b = 6.4187 Å, c = 32.6748 Å
α = 90.00°, β = 90.00°, γ = 120.00°
Space group R-3m (No. 166, hexagonal axes)
Inequivalent atoms, fractional coordinates:
Tb  0.0000  0.0000  0.0000 (multiplicity 3)
Tb  0.0000  0.0000  0.1531 (multiplicity 6)
Dy  0.0000  0.0000  0.5000 (multiplicity 3)
Dy  0.0018  0.5009  0.9179 (multiplicity 18)
Sc  0.0000  0.0000  0.3333 (multiplicity 6)

Top 10 peaks for 10 to 80 degrees two-theta, in order of rising 2θ:
(1 0 7), 2θ = 24.9°, I = 18
(1 1 6), 2θ = 32.4°, I = 100
(2 0 2), 2θ = 32.7°, I = 14
(0 0 12), 2θ = 32.9°, I = 25
(2 0 5), 2θ = 35.1°, I = 19
(0 2 13), 2θ = 48.9°, I = 14
(3 0 6), 2θ = 52.1°, I = 18
(2 2 0), 2θ = 57.4°, I = 19
(2 0 17), 2θ = 58.4°, I = 14
(2 2 12), 2θ = 67.8°, I = 19